1.
Structure and computed X-ray powder pattern of Zn4Sn3 (a DFT-relaxed cell (GGA-PBE, OQMD); Cu Kα, 1.54184 Å).
Intensities are scaled so that the largest is 100.

Largest 8 diffraction maxima, sorted by position, 10° ≤ 2θ ≤ 80°:
2θ (°), d/Å, I/Imax
30.7, 2.909, 11.0
32.9, 2.722, 24.6
36.4, 2.468, 28.6
37.7, 2.384, 100.0
49.9, 1.828, 15.2
58.8, 1.572, 14.1
66.4, 1.408, 18.9
71.1, 1.326, 16.0

Structural model:
a = 8.3162 Å, b = 8.3162 Å, c = 4.9360 Å
α = 90.00°, β = 90.00°, γ = 120.00°
Atoms (fractional coordinates):
Zn 0.1212 0.5071 0.2500
Zn 0.3333 0.6667 0.7500
Zn 0.3859 0.8788 0.2500
Zn 0.4929 0.6141 0.2500
Zn 0.5071 0.3859 0.7500
Zn 0.6141 0.1212 0.7500
Zn 0.6667 0.3333 0.2500
Zn 0.8788 0.4929 0.7500
Sn 0.0668 0.2739 0.7500
Sn 0.2071 0.9332 0.7500
Sn 0.2739 0.2071 0.2500
Sn 0.7261 0.7929 0.7500
Sn 0.7929 0.0668 0.2500
Sn 0.9332 0.7261 0.2500

***

2.
Structure and computed X-ray powder pattern of Cu5Ag4 (a DFT-relaxed cell (GGA-PBE, OQMD); Cu Kα, 1.54184 Å).
Intensities are scaled so that the largest is 100.

Largest 8 diffraction maxima, sorted by position, 10° ≤ 2θ ≤ 80°:
2θ (°), d/Å, I/Imax
37.3, 2.414, 25.4
40.5, 2.230, 100.0
44.0, 2.058, 9.6
44.2, 2.050, 8.8
45.6, 1.988, 46.9
65.2, 1.430, 11.1
66.5, 1.406, 14.1
69.9, 1.346, 6.4

Structural model:
a = 16.5858 Å, b = 16.5858 Å, c = 16.5858 Å
α = 170.27°, β = 170.27°, γ = 13.77°
Atoms (fractional coordinates):
Cu 0.0000 0.0000 0.0000
Cu 0.0931 0.0931 0.0000
Cu 0.3388 0.3388 0.0000
Cu 0.4532 0.4532 0.0000
Cu 0.5466 0.5466 0.0000
Ag 0.2164 0.2164 0.0000
Ag 0.6503 0.6503 0.0000
Ag 0.7824 0.7824 0.0000
Ag 0.8957 0.8957 0.0000

***

3.
Structure and computed X-ray powder pattern of Hf4Sc2Zn3N3 (a DFT-relaxed cell (GGA-PBE, OQMD); Cu Kα, 1.54184 Å).
Intensities are scaled so that the largest is 100.

Largest 8 diffraction maxima, sorted by position, 10° ≤ 2θ ≤ 80°:
2θ (°), d/Å, I/Imax
12.6, 7.049, 16.0
18.5, 4.789, 19.5
18.9, 4.699, 14.4
32.2, 2.783, 18.7
32.8, 2.731, 12.5
37.6, 2.395, 100.0
38.3, 2.350, 23.5
57.3, 1.607, 15.4

Structural model:
a = 5.5667 Å, b = 5.5667 Å, c = 14.4699 Å
α = 101.24°, β = 101.24°, γ = 59.99°
Atoms (fractional coordinates):
Hf 0.0225 0.1997 0.0839
Hf 0.1428 0.3061 0.4161
Hf 0.1997 0.0225 0.5839
Hf 0.3061 0.1428 0.9161
Hf 0.6939 0.8572 0.0839
Hf 0.8003 0.9775 0.4161
Hf 0.8572 0.6939 0.5839
Hf 0.9775 0.8003 0.9161
Sc 0.3706 0.5333 0.0992
Sc 0.4667 0.6294 0.4008
Sc 0.5333 0.3706 0.5992
Sc 0.6294 0.4667 0.9008
Zn 0.0328 0.9672 0.7500
Zn 0.1408 0.4152 0.7496
Zn 0.4152 0.1408 0.2496
Zn 0.5848 0.8592 0.7504
Zn 0.8592 0.5848 0.2504
Zn 0.9672 0.0328 0.2500
N 0.0000 0.5000 0.0000
N 0.1696 0.6652 0.4998
N 0.3348 0.8304 0.0002
N 0.5000 0.0000 0.5000
N 0.6652 0.1696 0.9998
N 0.8304 0.3348 0.5002